Record 1
Theoretical powder XRD pattern
Compound: GaFe3Rh12
Radiation: Cu Kα X-rays
Structure: a crystal structure in Alexandria, relaxed with PBE
No peak broadening, texture or thermal motion is included.

Crystal structure
Cell: 3.819 3.819 15.201 Å, 90.00 90.00 90.00°
Fractional positions:
1 Ga 0.000 0.000 0.000
2 Fe 0.000 0.000 0.249
3 Fe 0.000 0.000 0.500
4 Fe 0.000 0.000 0.751
5 Rh 0.000 0.500 0.128
6 Rh 0.000 0.500 0.376
7 Rh 0.000 0.500 0.624
8 Rh 0.000 0.500 0.872
9 Rh 0.500 0.000 0.128
10 Rh 0.500 0.000 0.376
11 Rh 0.500 0.000 0.624
12 Rh 0.500 0.000 0.872
13 Rh 0.500 0.500 0.000
14 Rh 0.500 0.500 0.252
15 Rh 0.500 0.500 0.500
16 Rh 0.500 0.500 0.748

Largest 12 diffraction maxima, by angle, 10 to 90 degrees two-theta:
| d [Å] | intensity |
| --- | --- |
| 3.819 | 3 |
| 3.800 | 1 |
| 2.696 | 3 |
| 2.201 | 100 |
| 1.910 | 32 |
| 1.900 | 16 |
| 1.707 | 1 |
| 1.350 | 10 |
| 1.347 | 20 |
| 1.151 | 24 |
| 1.147 | 12 |
| 1.101 | 10 |

=====

Record 2
Theoretical powder XRD pattern
Compound: GaFe4Rh
Radiation: Cu Kα X-rays
Structure: a crystal structure in Alexandria, relaxed with PBE
No peak broadening, texture or thermal motion is included.

Crystal structure
Cell: 2.992 2.992 8.452 Å, 90.00 90.00 90.00°
Fractional positions:
1 Ga 0.000 0.000 0.000
2 Fe 0.000 0.000 0.320
3 Fe 0.000 0.000 0.680
4 Fe 0.500 0.500 0.164
5 Fe 0.500 0.500 0.836
6 Rh 0.500 0.500 0.500

Largest 12 diffraction maxima, by angle, 10 to 90 degrees two-theta:
| d [Å] | intensity |
| --- | --- |
| 8.452 | 3 |
| 4.226 | 2 |
| 2.820 | 7 |
| 2.442 | 3 |
| 2.116 | 57 |
| 2.051 | 100 |
| 1.496 | 19 |
| 1.409 | 7 |
| 1.321 | 3 |
| 1.209 | 32 |
| 1.173 | 14 |
| 1.120 | 2 |

=====

Record 3
Theoretical powder XRD pattern
Compound: Ga2Fe2S5
Radiation: Cu Kα X-rays
Structure: a crystal structure in Alexandria, relaxed with PBE
No peak broadening, texture or thermal motion is included.

Crystal structure
Cell: 3.603 3.603 31.555 Å, 90.00 90.00 120.00°
Fractional positions:
1 Ga 0.333 0.667 0.094
2 Ga 0.333 0.667 0.406
3 Ga 0.667 0.333 0.594
4 Ga 0.667 0.333 0.906
5 Fe 0.000 0.000 0.205
6 Fe 0.000 0.000 0.295
7 Fe 0.000 0.000 0.705
8 Fe 0.000 0.000 0.795
9 S 0.333 0.667 0.165
10 S 0.333 0.667 0.335
11 S 0.333 0.667 0.560
12 S 0.333 0.667 0.750
13 S 0.333 0.667 0.940
14 S 0.667 0.333 0.060
15 S 0.667 0.333 0.250
16 S 0.667 0.333 0.440
17 S 0.667 0.333 0.665
18 S 0.667 0.333 0.835

Largest 12 diffraction maxima, by angle, 10 to 90 degrees two-theta:
| d [Å] | intensity |
| --- | --- |
| 5.259 | 59 |
| 3.944 | 34 |
| 3.105 | 28 |
| 3.061 | 79 |
| 2.991 | 54 |
| 2.902 | 50 |
| 2.797 | 53 |
| 2.683 | 29 |
| 2.331 | 33 |
| 2.011 | 69 |
| 1.916 | 52 |
| 1.801 | 100 |

=====

Record 4
Theoretical powder XRD pattern
Compound: Tb3GaFeS7
Radiation: Cu Kα X-rays
Structure: a crystal structure in Alexandria, relaxed with PBE
No peak broadening, texture or thermal motion is included.

Crystal structure
Cell: 9.672 9.672 6.170 Å, 90.00 90.00 120.00°
Fractional positions:
1 Tb 0.154 0.777 0.000
2 Tb 0.223 0.377 0.000
3 Tb 0.377 0.154 0.500
4 Tb 0.623 0.846 0.000
5 Tb 0.777 0.623 0.500
6 Tb 0.846 0.223 0.500
7 Ga 0.333 0.667 0.575
8 Ga 0.667 0.333 0.075
9 Fe 0.000 0.000 0.172
10 Fe 0.000 0.000 0.672
11 S 0.088 0.519 0.733
12 S 0.102 0.865 0.409
13 S 0.135 0.236 0.409
14 S 0.236 0.102 0.909
15 S 0.333 0.667 0.208
16 S 0.430 0.912 0.733
17 S 0.481 0.570 0.733
18 S 0.519 0.430 0.233
19 S 0.570 0.088 0.233
20 S 0.667 0.333 0.708
21 S 0.764 0.898 0.409
22 S 0.865 0.764 0.909
23 S 0.898 0.135 0.909
24 S 0.912 0.481 0.233

Largest 12 diffraction maxima, by angle, 10 to 90 degrees two-theta:
| d [Å] | intensity |
| --- | --- |
| 4.968 | 25 |
| 3.806 | 15 |
| 3.465 | 100 |
| 3.166 | 23 |
| 3.085 | 15 |
| 2.544 | 30 |
| 2.484 | 34 |
| 2.418 | 37 |
| 2.209 | 25 |
| 2.174 | 17 |
| 1.846 | 23 |
| 1.752 | 19 |

=====

Record 5
Theoretical powder XRD pattern
Compound: ScGa3Fe8
Radiation: Cu Kα X-rays
Structure: a crystal structure in Alexandria, relaxed with PBE
No peak broadening, texture or thermal motion is included.

Crystal structure
Cell: 4.836 4.836 7.768 Å, 90.00 90.00 120.00°
Fractional positions:
1 Sc 0.000 0.000 0.000
2 Ga 0.000 0.000 0.371
3 Ga 0.667 0.333 0.497
4 Ga 0.667 0.333 0.876
5 Fe 0.164 0.328 0.680
6 Fe 0.164 0.836 0.680
7 Fe 0.333 0.667 0.433
8 Fe 0.333 0.667 0.933
9 Fe 0.503 0.005 0.189
10 Fe 0.503 0.497 0.189
11 Fe 0.672 0.836 0.680
12 Fe 0.995 0.497 0.189

Largest 12 diffraction maxima, by angle, 10 to 90 degrees two-theta:
| d [Å] | intensity |
| --- | --- |
| 2.418 | 32 |
| 2.202 | 70 |
| 2.094 | 11 |
| 2.053 | 100 |
| 2.022 | 82 |
| 1.942 | 17 |
| 1.843 | 16 |
| 1.762 | 10 |
| 1.351 | 25 |
| 1.314 | 21 |
| 1.248 | 26 |
| 1.209 | 24 |

=====

Record 6
Theoretical powder XRD pattern
Compound: Sc3Ga16Fe20
Radiation: Cu Kα X-rays
Structure: a crystal structure in Alexandria, relaxed with PBE
No peak broadening, texture or thermal motion is included.

Crystal structure
Cell: 6.465 6.465 18.858 Å, 106.14 106.14 45.42°
Fractional positions:
1 Sc 0.000 0.000 0.000
2 Sc 0.334 0.334 0.654
3 Sc 0.665 0.665 0.326
4 Ga 0.110 0.110 0.549
5 Ga 0.110 0.110 0.889
6 Ga 0.229 0.229 0.768
7 Ga 0.233 0.233 0.109
8 Ga 0.282 0.282 0.385
9 Ga 0.386 0.386 0.936
10 Ga 0.445 0.445 0.216
11 Ga 0.453 0.453 0.550
12 Ga 0.561 0.561 0.775
13 Ga 0.562 0.562 0.442
14 Ga 0.622 0.622 0.054
15 Ga 0.776 0.776 0.881
16 Ga 0.787 0.787 0.220
17 Ga 0.895 0.895 0.111
18 Ga 0.897 0.897 0.442
19 Ga 0.947 0.947 0.718
20 Fe 0.004 0.507 0.996
21 Fe 0.007 0.503 0.495
22 Fe 0.020 0.020 0.254
23 Fe 0.087 0.087 0.407
24 Fe 0.168 0.670 0.828
25 Fe 0.174 0.670 0.330
26 Fe 0.247 0.247 0.248
27 Fe 0.336 0.834 0.662
28 Fe 0.340 0.840 0.163
29 Fe 0.424 0.424 0.076
30 Fe 0.503 0.007 0.495
31 Fe 0.507 0.004 0.996
32 Fe 0.585 0.585 0.914
33 Fe 0.670 0.168 0.828
34 Fe 0.670 0.174 0.330
35 Fe 0.686 0.686 0.586
36 Fe 0.752 0.752 0.741
37 Fe 0.834 0.336 0.662
38 Fe 0.840 0.340 0.163
39 Fe 0.912 0.912 0.580

Largest 12 diffraction maxima, by angle, 10 to 90 degrees two-theta:
| d [Å] | intensity |
| --- | --- |
| 2.496 | 47 |
| 2.469 | 79 |
| 2.154 | 72 |
| 2.145 | 64 |
| 2.131 | 100 |
| 2.123 | 81 |
| 2.097 | 81 |
| 1.918 | 96 |
| 1.914 | 94 |
| 1.904 | 42 |
| 1.234 | 39 |
| 1.219 | 44 |

=====

Record 7
Theoretical powder XRD pattern
Compound: SmGa6Fe6
Radiation: Cu Kα X-rays
Structure: a crystal structure in Alexandria, relaxed with PBE
No peak broadening, texture or thermal motion is included.

Crystal structure
Cell: 6.589 6.589 6.589 Å, 135.03 99.16 97.67°
Fractional positions:
1 Sm 0.000 0.000 0.000
2 Ga 0.188 0.688 0.500
3 Ga 0.335 0.000 0.335
4 Ga 0.346 0.346 0.000
5 Ga 0.654 0.654 0.000
6 Ga 0.665 0.000 0.665
7 Ga 0.812 0.312 0.500
8 Fe 0.000 0.000 0.500
9 Fe 0.000 0.500 0.000
10 Fe 0.243 0.500 0.743
11 Fe 0.500 0.000 0.000
12 Fe 0.500 0.500 0.500
13 Fe 0.757 0.500 0.257

Largest 12 diffraction maxima, by angle, 10 to 90 degrees two-theta:
| d [Å] | intensity |
| --- | --- |
| 2.706 | 27 |
| 2.520 | 39 |
| 2.508 | 72 |
| 2.480 | 32 |
| 2.179 | 55 |
| 2.170 | 87 |
| 2.163 | 100 |
| 2.153 | 58 |
| 2.136 | 54 |
| 1.941 | 58 |
| 1.254 | 27 |
| 1.238 | 33 |

=====

Record 8
Theoretical powder XRD pattern
Compound: Sm2Ga8Fe
Radiation: Cu Kα X-rays
Structure: a crystal structure in Alexandria, relaxed with PBE
No peak broadening, texture or thermal motion is included.

Crystal structure
Cell: 4.272 4.272 11.346 Å, 90.00 90.00 90.00°
Fractional positions:
1 Sm 0.000 0.000 0.196
2 Sm 0.000 0.000 0.804
3 Ga 0.000 0.500 0.000
4 Ga 0.000 0.500 0.387
5 Ga 0.000 0.500 0.613
6 Ga 0.500 0.000 0.000
7 Ga 0.500 0.000 0.387
8 Ga 0.500 0.000 0.613
9 Ga 0.500 0.500 0.195
10 Ga 0.500 0.500 0.805
11 Fe 0.000 0.000 0.500

Largest 12 diffraction maxima, by angle, 10 to 90 degrees two-theta:
| d [Å] | intensity |
| --- | --- |
| 4.272 | 19 |
| 2.832 | 10 |
| 2.666 | 57 |
| 2.360 | 100 |
| 2.269 | 25 |
| 2.136 | 59 |
| 1.555 | 31 |
| 1.510 | 19 |
| 1.314 | 12 |
| 1.284 | 14 |
| 1.272 | 26 |
| 1.257 | 15 |

=====

Record 9
Theoretical powder XRD pattern
Compound: Sm4Ga3Fe31
Radiation: Cu Kα X-rays
Structure: a crystal structure in Alexandria, relaxed with PBE
No peak broadening, texture or thermal motion is included.

Crystal structure
Cell: 6.414 6.483 12.899 Å, 83.36 82.74 83.12°
Fractional positions:
1 Sm 0.000 0.000 0.000
2 Sm 0.002 0.002 0.503
3 Sm 0.319 0.319 0.662
4 Sm 0.323 0.322 0.161
5 Ga 0.004 0.002 0.253
6 Ga 0.504 0.002 0.003
7 Ga 0.507 0.002 0.502
8 Fe 0.001 0.502 0.002
9 Fe 0.001 0.502 0.501
10 Fe 0.002 0.001 0.753
11 Fe 0.157 0.655 0.330
12 Fe 0.157 0.658 0.830
13 Fe 0.314 0.319 0.905
14 Fe 0.315 0.807 0.660
15 Fe 0.316 0.319 0.407
16 Fe 0.319 0.797 0.160
17 Fe 0.364 0.656 0.976
18 Fe 0.367 0.656 0.475
19 Fe 0.367 0.946 0.829
20 Fe 0.370 0.943 0.329
21 Fe 0.564 0.560 0.282
22 Fe 0.564 0.560 0.781
23 Fe 0.654 0.161 0.327
24 Fe 0.656 0.942 0.186
25 Fe 0.658 0.157 0.829
26 Fe 0.659 0.369 0.474
27 Fe 0.659 0.370 0.973
28 Fe 0.659 0.654 0.580
29 Fe 0.660 0.655 0.079
30 Fe 0.660 0.944 0.686
31 Fe 0.755 0.750 0.378
32 Fe 0.756 0.752 0.877
33 Fe 0.814 0.319 0.158
34 Fe 0.819 0.316 0.659
35 Fe 0.948 0.368 0.331
36 Fe 0.950 0.367 0.830
37 Fe 0.952 0.655 0.183
38 Fe 0.952 0.659 0.684

Largest 12 diffraction maxima, by angle, 10 to 90 degrees two-theta:
| d [Å] | intensity |
| --- | --- |
| 2.985 | 39 |
| 2.969 | 45 |
| 2.468 | 26 |
| 2.455 | 28 |
| 2.382 | 57 |
| 2.150 | 46 |
| 2.139 | 45 |
| 2.134 | 36 |
| 2.126 | 78 |
| 2.120 | 100 |
| 2.109 | 33 |
| 2.074 | 72 |

=====

Record 10
Theoretical powder XRD pattern
Compound: Ga2FeSn2
Radiation: Cu Kα X-rays
Structure: a crystal structure in Alexandria, relaxed with PBE
No peak broadening, texture or thermal motion is included.

Crystal structure
Cell: 6.596 6.596 4.747 Å, 90.00 90.00 90.00°
Fractional positions:
1 Ga 0.147 0.353 0.000
2 Ga 0.353 0.853 0.000
3 Ga 0.647 0.147 0.000
4 Ga 0.853 0.647 0.000
5 Fe 0.000 0.000 0.000
6 Fe 0.500 0.500 0.000
7 Sn 0.173 0.673 0.500
8 Sn 0.327 0.173 0.500
9 Sn 0.673 0.827 0.500
10 Sn 0.827 0.327 0.500

Largest 12 diffraction maxima, by angle, 10 to 90 degrees two-theta:
| d [Å] | intensity |
| --- | --- |
| 3.298 | 9 |
| 2.709 | 18 |
| 2.506 | 100 |
| 2.374 | 26 |
| 2.086 | 22 |
| 1.567 | 18 |
| 1.555 | 7 |
| 1.516 | 18 |
| 1.394 | 16 |
| 1.301 | 8 |
| 1.186 | 12 |
| 1.125 | 7 |

=====

Record 11
Theoretical powder XRD pattern
Compound: TbGa7Fe5
Radiation: Cu Kα X-rays
Structure: a crystal structure in Alexandria, relaxed with PBE
No peak broadening, texture or thermal motion is included.

Crystal structure
Cell: 6.629 6.629 6.629 Å, 135.14 98.18 98.56°
Fractional positions:
1 Tb 0.000 0.000 0.000
2 Ga 0.201 0.497 0.704
3 Ga 0.234 0.734 0.500
4 Ga 0.344 0.344 0.000
5 Ga 0.352 0.013 0.340
6 Ga 0.669 0.669 0.000
7 Ga 0.673 0.013 0.660
8 Ga 0.794 0.497 0.296
9 Fe 0.006 0.001 0.497
10 Fe 0.006 0.509 0.004
11 Fe 0.504 0.001 0.996
12 Fe 0.504 0.509 0.503
13 Fe 0.763 0.263 0.500

Largest 12 diffraction maxima, by angle, 10 to 90 degrees two-theta:
| d [Å] | intensity |
| --- | --- |
| 3.077 | 15 |
| 2.529 | 19 |
| 2.512 | 29 |
| 2.505 | 18 |
| 2.184 | 49 |
| 2.171 | 100 |
| 2.162 | 26 |
| 1.951 | 30 |
| 1.380 | 18 |
| 1.256 | 11 |
| 1.253 | 15 |
| 1.250 | 14 |